Calculated X-ray diffraction stick pattern
Compound: YbCu9Sn4
Radiation: Cu Kα (weighted mean of Kα1 and Kα2)
Structure: a crystal structure in Alexandria, relaxed with PBE
No peak broadening, texture or thermal motion is included.

Most intense lines, 10° ≤ 2θ ≤ 90°, low angle first:
| index | 2θ/deg | I/Imax |
| --- | --- | --- |
| 2 2 0 | 29.1 | 24 |
| 1 1 4 | 32.2 | 37 |
| 2 2 2 | 32.6 | 63 |
| 2 0 4 | 35.5 | 91 |
| 3 1 2 | 35.8 | 85 |
| 2 1 5 | 43.2 | 51 |
| 3 2 3 | 43.5 | 69 |
| 4 1 1 | 43.6 | 100 |

Cell and atoms:
Unit cell a=8.674 b=8.674 c=12.453 alpha=90.00 beta=90.00 gamma=90.00
Space group I4/mcm (No. 140)
Asymmetric unit:
Yb 0.000 0.000 0.250 (multiplicity 4)
Cu 0.000 0.500 0.000 (multiplicity 4)
Cu 0.054 0.201 0.000 (multiplicity 16)
Cu 0.108 0.392 0.174 (multiplicity 16)
Sn 0.186 0.314 0.373 (multiplicity 16)